# Li2Tl2HgF6
Theoretical X-ray diffraction stick pattern, Cu Ka. Input: a cell relaxed with GGA-PBE.
Intensities are scaled so that the largest is 100.

Structure:
Unit cell a=6.934 b=6.934 c=6.934 alpha=52.74 beta=52.74 gamma=52.74
Fractional positions:
Li (0.084, 0.084, 0.084)
Li (0.916, 0.916, 0.916)
Tl (0.295, 0.295, 0.295)
Tl (0.705, 0.705, 0.705)
Hg (0.500, 0.500, 0.500)
F (0.248, 0.248, 0.738)
F (0.248, 0.738, 0.248)
F (0.262, 0.752, 0.752)
F (0.738, 0.248, 0.248)
F (0.752, 0.262, 0.752)
F (0.752, 0.752, 0.262)

The 10 most intense peaks (2θ = 15–90°), low angle first:
| 2θ (°) | I (rel.) |
| --- | --- |
| 17.35 | 96 |
| 26.03 | 42 |
| 29.00 | 100 |
| 30.11 | 100 |
| 39.36 | 32 |
| 42.28 | 61 |
| 51.39 | 21 |
| 52.10 | 45 |
| 54.16 | 21 |
| 68.67 | 21 |